[1]
The following is a computed X-ray powder pattern of MgHgBiIr. It was derived from a cell relaxed with GGA-PBE, using CuKα.
Neutral-atom scattering factors, no anomalous dispersion.

Largest 12 diffraction maxima, most intense first, 10 to 90 degrees two-theta:
Position (°2θ), I_rel, (hkl)
36.60, 100, 2 2 0
65.90, 37, 4 2 2
22.17, 20, 1 1 1
52.73, 18, 4 0 0
89.20, 17, 6 2 0
77.81, 12, 4 4 0
43.21, 11, 3 1 1
25.66, 8, 2 0 0
57.88, 5, 3 3 1
82.11, 4, 5 3 1
70.46, 4, 5 1 1
59.54, 3, 4 2 0

Structural model:
Cell lengths 6.9441, 6.9441, 6.9441 Å; angles 90.00, 90.00, 90.00 degrees
Space group F-43m (No. 216)
Unique sites:
Mg1 0.0000 0.0000 0.0000 (multiplicity 4)
Hg1 0.2500 0.2500 0.2500 (multiplicity 4)
Bi1 0.0000 0.0000 0.5000 (multiplicity 4)
Ir1 0.2500 0.2500 0.7500 (multiplicity 4)

---

[2]
The following is a computed X-ray powder pattern of Cu2SiHgTe2S2. It was derived from a cell relaxed with GGA-PBE, using CuKα.
Neutral-atom scattering factors, no anomalous dispersion.

Largest 12 diffraction maxima, most intense first, 10 to 90 degrees two-theta:
Position (°2θ), I_rel, (hkl)
27.19, 100, 3 1 -1
26.50, 76, 1 1 1
44.97, 39, 4 2 0
43.71, 39, 2 2 -2
44.09, 31, 2 0 2
16.84, 30, 0 0 1
28.51, 30, 3 1 0
34.93, 28, 1 1 -2
35.34, 27, 2 2 -1
17.11, 25, 1 1 0
51.85, 21, 1 3 1
53.66, 20, 5 1 1

Structural model:
Cell lengths 12.3750, 5.8573, 5.8609 Å; angles 90.00, 116.09, 90.00 degrees
Space group C2 (No. 5)
Unique sites:
Cu1 0.2491 0.0000 0.2984 (multiplicity 4)
Si1 0.0000 0.0445 0.5000 (multiplicity 2)
Hg1 0.0000 0.4875 0.0000 (multiplicity 2)
Te1 0.1404 0.7891 0.8627 (multiplicity 4)
S1 0.1281 0.2349 0.4088 (multiplicity 4)

---

[3]
The following is a computed X-ray powder pattern of PrGdSi2Br2. It was derived from a cell relaxed with GGA-PBE, using CuKα.
Neutral-atom scattering factors, no anomalous dispersion.

Largest 12 diffraction maxima, most intense first, 10 to 90 degrees two-theta:
Position (°2θ), I_rel, (hkl)
34.68, 100, 0 1 3
26.28, 47, 1 0 1
29.68, 43, 1 0 2
44.12, 42, 1 1 0
25.05, 24, 1 0 0
15.67, 24, 0 0 2
57.30, 23, 2 0 3
67.46, 21, 1 1 6
75.04, 21, 1 2 3
47.65, 16, 0 1 5
81.17, 14, 3 0 0
48.28, 10, 0 0 6

Structural model:
Cell lengths 4.1053, 4.1053, 11.3096 Å; angles 90.00, 90.00, 120.00 degrees
Space group P3m1 (No. 156)
Unique sites:
Pr1 0.0000 0.0000 0.0000 (multiplicity 1)
Gd1 0.0000 0.0000 0.6500 (multiplicity 1)
Si1 0.3333 0.6667 0.8266 (multiplicity 1)
Si2 0.6667 0.3333 0.8128 (multiplicity 1)
Br1 0.3333 0.6667 0.4893 (multiplicity 1)
Br2 0.6667 0.3333 0.1701 (multiplicity 1)

---

[4]
The following is a computed X-ray powder pattern of HoLu2P3. It was derived from a cell relaxed with GGA-PBE, using CuKα.
Neutral-atom scattering factors, no anomalous dispersion.

Largest 10 diffraction maxima, most intense first, 10 to 90 degrees two-theta:
Position (°2θ), I_rel, (hkl)
32.14, 100, 1 0 2
27.74, 92, 0 1 1
46.10, 73, 1 1 0
54.66, 44, 2 0 1
76.49, 33, 2 1 2
57.31, 25, 0 2 2
85.38, 19, 3 0 0
74.22, 18, 1 2 1
67.24, 12, 2 0 4
85.46, 6, 1 0 8

Structural model:
Cell lengths 3.9395, 3.9395, 9.6393 Å; angles 90.00, 90.00, 120.00 degrees
Space group P-3m1 (No. 164)
Unique sites:
Ho1 0.0000 0.0000 0.0000 (multiplicity 1)
Lu1 0.3333 0.6667 0.3350 (multiplicity 2)
P1 0.0000 0.0000 0.5000 (multiplicity 1)
P2 0.3333 0.6667 0.8295 (multiplicity 2)

---

[5]
The following is a computed X-ray powder pattern of Ni. It was derived from a cell relaxed with GGA-PBE, using CuKα.
Neutral-atom scattering factors, no anomalous dispersion.

Largest 12 diffraction maxima, most intense first, 10 to 90 degrees two-theta:
Position (°2θ), I_rel, (hkl)
44.76, 100, 1 0 11
46.17, 44, 1 0 12
52.80, 44, 1 1 0
78.40, 15, 1 1 23
53.39, 13, 0 0 23
77.92, 13, 2 0 0
50.90, 11, 0 0 22
76.39, 11, 1 1 22
11.21, 9, 0 0 5
42.22, 5, 1 0 9
53.01, 3, 1 1 2
13.46, 2, 0 0 6

Structural model:
Cell lengths 2.4524, 2.4524, 39.4658 Å; angles 90.00, 90.00, 90.00 degrees
Space group P4mm (No. 99)
Unique sites:
Ni1 0.0000 0.0000 0.0000 (multiplicity 1)
Ni2 0.0000 0.0000 0.0876 (multiplicity 1)
Ni3 0.0000 0.0000 0.1764 (multiplicity 1)
Ni4 0.0000 0.0000 0.2643 (multiplicity 1)
Ni5 0.0000 0.0000 0.3526 (multiplicity 1)
Ni6 0.0000 0.0000 0.4427 (multiplicity 1)
Ni7 0.0000 0.0000 0.8224 (multiplicity 1)
Ni8 0.0000 0.0000 0.9107 (multiplicity 1)
Ni9 0.5000 0.5000 0.0439 (multiplicity 1)
Ni10 0.5000 0.5000 0.1318 (multiplicity 1)
Ni11 0.5000 0.5000 0.2202 (multiplicity 1)
Ni12 0.5000 0.5000 0.3086 (multiplicity 1)
Ni13 0.5000 0.5000 0.3969 (multiplicity 1)
Ni14 0.5000 0.5000 0.4857 (multiplicity 1)
Ni15 0.5000 0.5000 0.8658 (multiplicity 1)
Ni16 0.5000 0.5000 0.9552 (multiplicity 1)

---

[6]
The following is a computed X-ray powder pattern of CdSbPbF. It was derived from a cell relaxed with GGA-PBE, using CuKα.
Neutral-atom scattering factors, no anomalous dispersion.

Largest 12 diffraction maxima, most intense first, 10 to 90 degrees two-theta:
Position (°2θ), I_rel, (hkl)
30.14, 100, 2 1 1
34.11, 88, 0 2 2
29.77, 61, 1 2 1
36.98, 48, 2 2 1
34.55, 37, 2 0 2
24.20, 34, 0 2 0
26.78, 33, 1 0 2
53.98, 31, 4 1 1
27.53, 30, 2 0 1
34.92, 30, 2 2 0
23.68, 30, 0 0 2
44.08, 24, 2 0 3

Structural model:
Cell lengths 7.1804, 7.3561, 7.5160 Å; angles 90.00, 90.00, 90.00 degrees
Space group P2_12_12_1 (No. 19)
Unique sites:
Cd1 0.1177 0.2287 0.4636 (multiplicity 4)
Sb1 0.0843 0.9449 0.7995 (multiplicity 4)
Pb1 0.2198 0.7082 0.4647 (multiplicity 4)
F1 0.0415 0.3822 0.1834 (multiplicity 4)

---

[7]
The following is a computed X-ray powder pattern of LiCdPSO3. It was derived from a cell relaxed with GGA-PBE, using CuKα.
Neutral-atom scattering factors, no anomalous dispersion.

Largest 12 diffraction maxima, most intense first, 10 to 90 degrees two-theta:
Position (°2θ), I_rel, (hkl)
21.07, 100, 1 -1 0
19.44, 57, 0 0 1
20.43, 51, 0 1 0
33.96, 37, 1 1 -1
32.67, 35, 1 -1 1
24.41, 26, -1 1 1
32.27, 24, 0 1 1
39.28, 24, -1 1 2
40.32, 23, 1 -2 1
35.15, 20, -2 1 1
42.93, 15, 2 0 -2
40.50, 15, 0 2 -1

Structural model:
Cell lengths 5.1165, 5.1375, 5.3238 Å; angles 91.15, 116.40, 117.93 degrees
Space group P1 (No. 1)
Unique sites:
Li1 0.0000 0.0000 0.0000 (multiplicity 1)
Cd1 0.0226 0.4665 0.5554 (multiplicity 1)
P1 0.5810 0.2744 0.8435 (multiplicity 1)
S1 0.3768 0.9491 0.4679 (multiplicity 1)
O1 0.3032 0.2863 0.8793 (multiplicity 1)
O2 0.7895 0.1862 0.1003 (multiplicity 1)
O3 0.8095 0.5802 0.8031 (multiplicity 1)